1.
For SmDy2Zn2In2, a crystal structure in Alexandria, relaxed with PBE gives the theoretical powder diffractogram in this record (Cu Kα X-rays).
Intensities are scaled so that the largest is 100.

Most intense lines, 10 to 90 degrees two-theta, sorted by position:
| 2theta | d_spacing | I/Imax |
| --- | --- | --- |
| 21.97 | 4.046 | 32 |
| 31.63 | 2.828 | 75 |
| 34.14 | 2.626 | 91 |
| 38.11 | 2.362 | 100 |
| 52.08 | 1.756 | 27 |
| 64.48 | 1.445 | 35 |

Unit cell a=9.5334 b=9.5334 c=9.5334 alpha=28.69 beta=28.69 gamma=28.69
Element x y z (fractional)
1 Sm 0.0000 0.0000 0.0000
2 Dy 0.1282 0.1282 0.1282
3 Dy 0.8718 0.8718 0.8718
4 Zn 0.4016 0.4016 0.4016
5 Zn 0.5984 0.5984 0.5984
6 In 0.2613 0.2613 0.2613
7 In 0.7387 0.7387 0.7387

2.
For Tb2PrTmSb4, a crystal structure in Alexandria, relaxed with PBE gives the theoretical powder diffractogram in this record (Cu Kα X-rays).
Intensities are scaled so that the largest is 100.

Most intense lines, 10 to 90 degrees two-theta, sorted by position:
| 2theta | d_spacing | I/Imax |
| --- | --- | --- |
| 28.51 | 3.130 | 100 |
| 40.77 | 2.213 | 76 |
| 50.50 | 1.807 | 27 |
| 59.02 | 1.565 | 13 |
| 66.83 | 1.400 | 35 |
| 74.21 | 1.278 | 26 |

Unit cell a=7.6654 b=7.6654 c=7.6654 alpha=131.78 beta=131.78 gamma=70.57
Element x y z (fractional)
1 Tb 0.2500 0.7500 0.5000
2 Tb 0.7500 0.2500 0.5000
3 Pr 0.0000 0.0000 0.0000
4 Tm 0.5000 0.5000 0.0000
5 Sb 0.0000 0.5000 0.5000
6 Sb 0.2553 0.2553 0.0000
7 Sb 0.5000 0.0000 0.5000
8 Sb 0.7447 0.7447 0.0000

3.
For La6Cd2TcN, a crystal structure in Alexandria, relaxed with PBE gives the theoretical powder diffractogram in this record (Cu Kα X-rays).
Intensities are scaled so that the largest is 100.

Most intense lines, 10 to 90 degrees two-theta, sorted by position:
| 2theta | d_spacing | I/Imax |
| --- | --- | --- |
| 28.54 | 3.127 | 43 |
| 28.74 | 3.107 | 35 |
| 29.19 | 3.060 | 100 |
| 29.57 | 3.021 | 40 |
| 33.25 | 2.695 | 54 |
| 33.40 | 2.683 | 51 |

Unit cell a=7.3646 b=7.3899 c=7.5643 alpha=118.61 beta=91.95 gamma=118.17
Element x y z (fractional)
1 La 0.0000 0.0000 0.0000
2 La 0.0317 0.5864 0.1141
3 La 0.0829 0.5065 0.5982
4 La 0.5086 0.5117 0.9973
5 La 0.5641 0.4480 0.4961
6 La 0.5970 0.0251 0.5950
7 Cd 0.0643 0.0113 0.5662
8 Cd 0.5338 0.0148 0.0376
9 Tc 0.3190 0.4585 0.2677
10 N 0.8001 0.4915 0.7841

4.
For BC3, a crystal structure in Alexandria, relaxed with PBE gives the theoretical powder diffractogram in this record (Cu Kα X-rays).
Intensities are scaled so that the largest is 100.

Most intense lines, 10 to 90 degrees two-theta, sorted by position:
| 2theta | d_spacing | I/Imax |
| --- | --- | --- |
| 16.85 | 5.261 | 24 |
| 41.91 | 2.156 | 100 |
| 43.42 | 2.084 | 93 |
| 71.76 | 1.315 | 13 |
| 72.39 | 1.305 | 49 |
| 87.75 | 1.112 | 16 |

Unit cell a=2.5040 b=5.2613 c=3.7610 alpha=90.00 beta=90.00 gamma=90.00
Element x y z (fractional)
1 B 0.2500 0.0000 0.1676
2 B 0.7500 0.0000 0.8324
3 C 0.2500 0.2666 0.3843
4 C 0.2500 0.5000 0.1177
5 C 0.2500 0.7334 0.3843
6 C 0.7500 0.2666 0.6157
7 C 0.7500 0.5000 0.8823
8 C 0.7500 0.7334 0.6157

5.
For MgVS, a crystal structure in Alexandria, relaxed with PBE gives the theoretical powder diffractogram in this record (Cu Kα X-rays).
Intensities are scaled so that the largest is 100.

Most intense lines, 10 to 90 degrees two-theta, sorted by position:
| 2theta | d_spacing | I/Imax |
| --- | --- | --- |
| 13.55 | 6.533 | 57 |
| 20.39 | 4.355 | 23 |
| 34.35 | 2.611 | 24 |
| 36.88 | 2.438 | 100 |
| 46.67 | 1.946 | 24 |
| 59.10 | 1.563 | 28 |

Unit cell a=3.1263 b=3.1263 c=13.1885 alpha=96.72 beta=90.07 gamma=120.00
Element x y z (fractional)
1 Mg 0.2010 0.3997 0.1028
2 Mg 0.7990 0.6003 0.8972
3 V 0.0730 0.1500 0.7208
4 V 0.9270 0.8500 0.2792
5 S 0.3708 0.7465 0.6147
6 S 0.6292 0.2535 0.3853

6.
For Cs2K2Rb6Na, a crystal structure in Alexandria, relaxed with PBE gives the theoretical powder diffractogram in this record (Cu Kα X-rays).
Intensities are scaled so that the largest is 100.

Most intense lines, 10 to 90 degrees two-theta, sorted by position:
| 2theta | d_spacing | I/Imax |
| --- | --- | --- |
| 18.72 | 4.741 | 54 |
| 20.68 | 4.295 | 53 |
| 20.95 | 4.241 | 65 |
| 21.51 | 4.132 | 100 |
| 22.27 | 3.991 | 70 |
| 22.95 | 3.875 | 67 |

Unit cell a=9.1621 b=10.5008 c=11.8436 alpha=103.82 beta=98.12 gamma=115.10
Element x y z (fractional)
1 Cs 0.1841 0.3785 0.4159
2 Cs 0.8159 0.6215 0.5841
3 K 0.1977 0.4323 0.0435
4 K 0.8023 0.5677 0.9565
5 Rb 0.2344 0.8749 0.3210
6 Rb 0.2873 0.1524 0.7305
7 Rb 0.4023 0.7616 0.8464
8 Rb 0.5977 0.2384 0.1536
9 Rb 0.7127 0.8476 0.2695
10 Rb 0.7656 0.1251 0.6790
11 Na 0.0000 0.0000 0.0000

7.
For Hg2TeW, a crystal structure in Alexandria, relaxed with PBE gives the theoretical powder diffractogram in this record (Cu Kα X-rays).
Intensities are scaled so that the largest is 100.

Most intense lines, 10 to 90 degrees two-theta, sorted by position:
| 2theta | d_spacing | I/Imax |
| --- | --- | --- |
| 18.56 | 4.781 | 64 |
| 34.68 | 2.587 | 100 |
| 37.67 | 2.388 | 53 |
| 44.08 | 2.054 | 48 |
| 66.11 | 1.413 | 17 |
| 70.02 | 1.344 | 17 |

Unit cell a=5.0494 b=5.0494 c=8.6019 alpha=121.66 beta=121.66 gamma=37.56
Element x y z (fractional)
1 Hg 0.0000 0.0000 0.0000
2 Hg 0.6683 0.6683 0.3364
3 Te 0.0927 0.0927 0.6680
4 W 0.3753 0.3753 0.6681

8.
For ZrNb5Tc6, a crystal structure in Alexandria, relaxed with PBE gives the theoretical powder diffractogram in this record (Cu Kα X-rays).
Intensities are scaled so that the largest is 100.

Most intense lines, 10 to 90 degrees two-theta, sorted by position:
| 2theta | d_spacing | I/Imax |
| --- | --- | --- |
| 39.71 | 2.270 | 100 |
| 39.84 | 2.263 | 20 |
| 57.44 | 1.604 | 20 |
| 72.00 | 1.312 | 20 |
| 72.25 | 1.308 | 13 |
| 85.60 | 1.135 | 8 |

Unit cell a=7.8691 b=7.8691 c=7.8691 alpha=146.58 beta=131.83 gamma=59.90
Element x y z (fractional)
1 Zr 0.0000 0.0000 0.0000
2 Nb 0.1681 0.6681 0.5000
3 Nb 0.3338 0.3338 0.0000
4 Nb 0.5000 0.0000 0.5000
5 Nb 0.6662 0.6662 0.0000
6 Nb 0.8319 0.3319 0.5000
7 Tc 0.0836 0.8313 0.2523
8 Tc 0.2549 0.5000 0.7549
9 Tc 0.4210 0.1687 0.2523
10 Tc 0.5790 0.8313 0.7477
11 Tc 0.7451 0.5000 0.2451
12 Tc 0.9164 0.1687 0.7477

9.
For SiAg, a crystal structure in Alexandria, relaxed with PBE gives the theoretical powder diffractogram in this record (Cu Kα X-rays).
Intensities are scaled so that the largest is 100.

Most intense lines, 10 to 90 degrees two-theta, sorted by position:
| 2theta | d_spacing | I/Imax |
| --- | --- | --- |
| 15.60 | 5.682 | 77 |
| 30.16 | 2.963 | 75 |
| 36.38 | 2.469 | 54 |
| 37.86 | 2.377 | 100 |
| 41.69 | 2.167 | 48 |
| 41.97 | 2.153 | 93 |

Unit cell a=6.1459 b=6.1459 c=7.4626 alpha=120.40 beta=120.40 gamma=26.40
Element x y z (fractional)
1 Si 0.0000 0.0000 0.0000
2 Si 0.2081 0.2081 0.3158
3 Si 0.5704 0.5704 0.7974
4 Ag 0.3103 0.3103 0.0013
5 Ag 0.6808 0.6808 0.5803
6 Ag 0.9200 0.9200 0.4254

10.
For Re2SeI, a crystal structure in Alexandria, relaxed with PBE gives the theoretical powder diffractogram in this record (Cu Kα X-rays).
Intensities are scaled so that the largest is 100.

Most intense lines, 10 to 90 degrees two-theta, sorted by position:
| 2theta | d_spacing | I/Imax |
| --- | --- | --- |
| 27.51 | 3.242 | 10 |
| 39.30 | 2.293 | 100 |
| 56.79 | 1.621 | 17 |
| 64.23 | 1.450 | 4 |
| 71.24 | 1.324 | 35 |
| 84.52 | 1.146 | 11 |

Unit cell a=4.5855 b=4.5855 c=4.5855 alpha=60.00 beta=60.00 gamma=60.00
Element x y z (fractional)
1 Re 0.2500 0.2500 0.2500
2 Re 0.7500 0.7500 0.7500
3 Se 0.0000 0.0000 0.0000
4 I 0.5000 0.5000 0.5000

11.
For Sc11In9Cu4, a crystal structure in Alexandria, relaxed with PBE gives the theoretical powder diffractogram in this record (Cu Kα X-rays).
Intensities are scaled so that the largest is 100.

Most intense lines, 10 to 90 degrees two-theta, sorted by position:
| 2theta | d_spacing | I/Imax |
| --- | --- | --- |
| 25.69 | 3.467 | 28 |
| 34.83 | 2.576 | 10 |
| 36.64 | 2.453 | 100 |
| 45.29 | 2.002 | 11 |
| 52.85 | 1.732 | 10 |
| 65.99 | 1.416 | 17 |

Unit cell a=12.5130 b=12.5130 c=3.4648 alpha=90.00 beta=90.00 gamma=112.65
Element x y z (fractional)
1 Sc 0.0000 0.0000 0.0000
2 Sc 0.0726 0.4151 0.0000
3 Sc 0.1592 0.8408 0.0000
4 Sc 0.3078 0.3078 0.0000
5 Sc 0.3714 0.6286 0.0000
6 Sc 0.4151 0.0726 0.0000
7 Sc 0.5849 0.9274 0.0000
8 Sc 0.6286 0.3714 0.0000
9 Sc 0.6922 0.6922 0.0000
10 Sc 0.8408 0.1592 0.0000
11 Sc 0.9274 0.5849 0.0000
12 In 0.0708 0.2180 0.5000
13 In 0.1529 0.6307 0.5000
14 In 0.2180 0.0708 0.5000
15 In 0.3693 0.8471 0.5000
16 In 0.5000 0.5000 0.5000
17 In 0.6307 0.1529 0.5000
18 In 0.7820 0.9292 0.5000
19 In 0.8471 0.3693 0.5000
20 In 0.9292 0.7820 0.5000
21 Cu 0.2504 0.4502 0.5000
22 Cu 0.4502 0.2504 0.5000
23 Cu 0.5498 0.7496 0.5000
24 Cu 0.7496 0.5498 0.5000

12.
For Tm2ZrNpN4, a crystal structure in Alexandria, relaxed with PBE gives the theoretical powder diffractogram in this record (Cu Kα X-rays).
Intensities are scaled so that the largest is 100.

Most intense lines, 10 to 90 degrees two-theta, sorted by position:
| 2theta | d_spacing | I/Imax |
| --- | --- | --- |
| 32.47 | 2.757 | 100 |
| 32.58 | 2.748 | 99 |
| 37.67 | 2.388 | 93 |
| 37.87 | 2.376 | 46 |
| 54.48 | 1.684 | 79 |
| 64.68 | 1.441 | 30 |

Unit cell a=5.8326 b=3.3687 c=5.8354 alpha=90.00 beta=109.06 gamma=90.00
Element x y z (fractional)
1 Tm 0.0000 0.0000 0.0000
2 Tm 0.0000 0.5000 0.5000
3 Zr 0.5000 0.0000 0.5000
4 Np 0.5000 0.5000 0.0000
5 N 0.2556 0.0000 0.7474
6 N 0.2603 0.5000 0.2539
7 N 0.7397 0.5000 0.7461
8 N 0.7444 0.0000 0.2526